Diffraction record for Pm8SmGa6. The XRD peak list is computed, not measured: it uses a DFT-relaxed cell (PBE, Alexandria) and CuKα.
Lines closer than 0.1° are merged.

Most intense lines, 2θ from 15° to 90°, sorted by position:
d = 3.616 Å, 24.62 deg, rel. 66, (2 -1 3); d = 2.562 Å, 35.02 deg, rel. 100, (1 1 6); d = 2.551 Å, 35.18 deg, rel. 97, (3 0 0); d = 1.808 Å, 50.48 deg, rel. 35, (4 -2 6); d = 1.481 Å, 62.72 deg, rel. 18, (2 -1 12); d = 1.475 Å, 63.02 deg, rel. 36, (4 1 6); d = 1.473 Å, 63.12 deg, rel. 18, (3 3 0); d = 1.142 Å, 84.93 deg, rel. 16, (7 -2 6)

Cell and atoms:
```
data_Pm8SmGa6
_symmetry_space_group_name_H-M 'R -3'
_symmetry_Int_Tables_number 148
_symmetry_space_group_name_Hall '-R 3'
_cell_length_a 8.8372
_cell_length_b 8.8372
_cell_length_c 18.8693
_cell_angle_alpha 90.00
_cell_angle_beta 90.00
_cell_angle_gamma 120.00
loop_
_atom_site_label
_atom_site_type_symbol
_atom_site_fract_x
_atom_site_fract_y
_atom_site_fract_z
Pm1 Pm 0.0000 0.0000 0.1665
Pm2 Pm 0.9999 0.3332 0.2800
Sm1 Sm 0.0000 0.0000 0.5000
Ga1 Ga 0.0002 0.3325 0.4439
```